Record 1
Structure and calculated X-ray powder pattern of BaHg11 (a GGA-PBE-relaxed structure; CuKα).
Lines closer than 0.1° are merged.

Most intense lines, 10° ≤ 2θ ≤ 90°, sorted by position:
- 3.200 Å, I 260
- 3.051 Å, I 536
- 2.921 Å, I 564
- 2.806 Å, I 318
- 2.454 Å, I 1000
- 2.385 Å, I 646
- 2.208 Å, I 400
- 1.789 Å, I 175
- 1.580 Å, I 351
- 1.377 Å, I 330

Structure:
Unit cell a=10.118 b=10.118 c=10.118 alpha=90.00 beta=90.00 gamma=90.00
Fractional coordinates of all 36 atoms:
Ba (0.000, 0.000, 0.500)
Ba (0.000, 0.500, 0.000)
Ba (0.500, 0.000, 0.000)
Hg (0.000, 0.344, 0.344)
Hg (0.000, 0.344, 0.656)
Hg (0.000, 0.656, 0.344)
Hg (0.000, 0.656, 0.656)
Hg (0.153, 0.153, 0.153)
Hg (0.153, 0.153, 0.847)
Hg (0.153, 0.847, 0.153)
Hg (0.153, 0.847, 0.847)
Hg (0.266, 0.266, 0.500)
Hg (0.266, 0.500, 0.266)
Hg (0.266, 0.500, 0.734)
Hg (0.266, 0.734, 0.500)
Hg (0.344, 0.000, 0.344)
Hg (0.344, 0.000, 0.656)
Hg (0.344, 0.344, 0.000)
Hg (0.344, 0.656, 0.000)
Hg (0.500, 0.266, 0.266)
Hg (0.500, 0.266, 0.734)
Hg (0.500, 0.500, 0.500)
Hg (0.500, 0.734, 0.266)
Hg (0.500, 0.734, 0.734)
Hg (0.656, 0.000, 0.344)
Hg (0.656, 0.000, 0.656)
Hg (0.656, 0.344, 0.000)
Hg (0.656, 0.656, 0.000)
Hg (0.734, 0.266, 0.500)
Hg (0.734, 0.500, 0.266)
Hg (0.734, 0.500, 0.734)
Hg (0.734, 0.734, 0.500)
Hg (0.847, 0.153, 0.153)
Hg (0.847, 0.153, 0.847)
Hg (0.847, 0.847, 0.153)
Hg (0.847, 0.847, 0.847)

=====

Record 2
Structure and calculated X-ray powder pattern of Ba6Hg5 (a GGA-PBE-relaxed structure; CuKα).
Lines closer than 0.1° are merged.

Most intense lines, 10° ≤ 2θ ≤ 90°, sorted by position:
- 2.983 Å, I 203
- 2.967 Å, I 1000
- 2.104 Å, I 152
- 2.093 Å, I 75
- 1.719 Å, I 163
- 1.713 Å, I 241
- 1.710 Å, I 80
- 1.483 Å, I 126
- 1.329 Å, I 106
- 1.121 Å, I 129

Structure:
Unit cell a=10.277 b=10.277 c=10.277 alpha=146.25 beta=131.93 gamma=60.02
Fractional coordinates of all 11 atoms:
Ba (0.080, 0.332, 0.747)
Ba (0.245, 0.000, 0.245)
Ba (0.415, 0.668, 0.747)
Ba (0.585, 0.332, 0.253)
Ba (0.755, 0.000, 0.755)
Ba (0.920, 0.668, 0.253)
Hg (0.000, 0.500, 0.500)
Hg (0.166, 0.166, 0.000)
Hg (0.333, 0.833, 0.500)
Hg (0.667, 0.167, 0.500)
Hg (0.834, 0.834, 0.000)

=====

Record 3
Structure and calculated X-ray powder pattern of Ba5Hg6 (a GGA-PBE-relaxed structure; CuKα).
Lines closer than 0.1° are merged.

Most intense lines, 10° ≤ 2θ ≤ 90°, sorted by position:
- 4.128 Å, I 107
- 2.977 Å, I 1000
- 2.919 Å, I 489
- 2.467 Å, I 74
- 2.149 Å, I 87
- 2.064 Å, I 173
- 1.731 Å, I 167
- 1.696 Å, I 349
- 1.489 Å, I 95
- 1.106 Å, I 77

Structure:
Unit cell a=10.180 b=10.180 c=10.180 alpha=146.67 beta=130.06 gamma=61.38
Fractional coordinates of all 11 atoms:
Ba (0.000, 0.000, 0.000)
Ba (0.174, 0.674, 0.500)
Ba (0.355, 0.355, 0.000)
Ba (0.645, 0.645, 0.000)
Ba (0.826, 0.326, 0.500)
Hg (0.060, 0.827, 0.233)
Hg (0.216, 0.500, 0.716)
Hg (0.406, 0.173, 0.233)
Hg (0.594, 0.827, 0.767)
Hg (0.784, 0.500, 0.284)
Hg (0.940, 0.173, 0.767)

=====

Record 4
Structure and calculated X-ray powder pattern of Ba7Hg31 (a GGA-PBE-relaxed structure; CuKα).
Lines closer than 0.1° are merged.

Most intense lines, 10° ≤ 2θ ≤ 90°, sorted by position:
- 3.072 Å, I 144
- 2.986 Å, I 448
- 2.816 Å, I 1000
- 2.785 Å, I 813
- 2.735 Å, I 150
- 2.455 Å, I 442
- 2.358 Å, I 234
- 2.349 Å, I 229
- 1.614 Å, I 405
- 1.392 Å, I 149

Structure:
Unit cell a=11.138 b=11.138 c=10.406 alpha=90.00 beta=90.00 gamma=120.00
Fractional coordinates of all 38 atoms:
Ba (0.000, 0.000, 0.000)
Ba (0.166, 0.332, 0.500)
Ba (0.166, 0.834, 0.500)
Ba (0.333, 0.667, 0.000)
Ba (0.667, 0.333, 0.209)
Ba (0.667, 0.333, 0.791)
Ba (0.668, 0.834, 0.500)
Hg (0.000, 0.000, 0.352)
Hg (0.000, 0.000, 0.648)
Hg (0.023, 0.512, 0.307)
Hg (0.023, 0.512, 0.693)
Hg (0.172, 0.344, 0.166)
Hg (0.172, 0.344, 0.834)
Hg (0.172, 0.828, 0.166)
Hg (0.172, 0.828, 0.834)
Hg (0.291, 0.145, 0.263)
Hg (0.291, 0.145, 0.737)
Hg (0.333, 0.667, 0.349)
Hg (0.333, 0.667, 0.651)
Hg (0.398, 0.062, 0.000)
Hg (0.398, 0.336, 0.000)
Hg (0.469, 0.235, 0.500)
Hg (0.488, 0.512, 0.307)
Hg (0.488, 0.512, 0.693)
Hg (0.488, 0.977, 0.307)
Hg (0.488, 0.977, 0.693)
Hg (0.656, 0.828, 0.166)
Hg (0.656, 0.828, 0.834)
Hg (0.664, 0.062, 0.000)
Hg (0.664, 0.602, 0.000)
Hg (0.765, 0.235, 0.500)
Hg (0.765, 0.531, 0.500)
Hg (0.855, 0.145, 0.263)
Hg (0.855, 0.145, 0.737)
Hg (0.855, 0.709, 0.263)
Hg (0.855, 0.709, 0.737)
Hg (0.938, 0.336, 0.000)
Hg (0.938, 0.602, 0.000)